Record 1
Diffraction record for CaMgGeO4. The PXRD pattern is simulated, not measured: it uses a PBE-relaxed structure and copper Kα.
Intensities are scaled so that the largest is 100.

Crystal structure
```
data_CaMgGeO4
_space_group_name_H-M_alt 'P n m a'
_space_group_IT_number 62
_space_group_name_Hall '-P 2ac 2n'
_cell_length_a 11.3766
_cell_length_b 6.4566
_cell_length_c 5.0514
_cell_angle_alpha 90.00
_cell_angle_beta 90.00
_cell_angle_gamma 90.00
loop_
_atom_site_label
_atom_site_fract_x
_atom_site_fract_y
_atom_site_fract_z
Ca1 0.2246 0.2500 0.0115
Mg1 0.0000 0.0000 0.5000
Ge1 0.0808 0.7500 0.0788
O1 0.0571 0.2500 0.7438
O2 0.0798 0.7500 0.7306
O3 0.1482 0.5320 0.2359
```

The 6 most intense peaks (15 to 90 degrees two-theta), by angle:
2θ = 20.81°, I 55, (2 1 0)
2θ = 27.63°, I 33, (0 2 0)
2θ = 32.62°, I 100, (3 1 1)
2θ = 33.88°, I 64, (1 2 1)
2θ = 34.46°, I 31, (4 1 0)
2θ = 56.26°, I 33, (6 2 0)

=====

Record 2
Diffraction record for CaGe2N2. The PXRD pattern is simulated, not measured: it uses a PBE-relaxed structure and copper Kα.
Intensities are scaled so that the largest is 100.

Crystal structure
```
data_CaGe2N2
_space_group_name_H-M_alt 'P -3 m 1'
_space_group_IT_number 164
_space_group_name_Hall '-P 3 2"'
_cell_length_a 3.2016
_cell_length_b 3.2016
_cell_length_c 8.8506
_cell_angle_alpha 90.00
_cell_angle_beta 90.00
_cell_angle_gamma 120.00
loop_
_atom_site_label
_atom_site_fract_x
_atom_site_fract_y
_atom_site_fract_z
Ca1 0.0000 0.0000 0.0000
Ge1 0.3333 0.6667 0.3040
N1 0.3333 0.6667 0.8209
```

The 6 most intense peaks (15 to 90 degrees two-theta), by angle:
2θ = 20.07°, I 35, (0 0 2)
2θ = 30.30°, I 30, (0 0 3)
2θ = 33.88°, I 91, (0 1 1)
2θ = 38.31°, I 100, (1 0 2)
2θ = 52.94°, I 39, (0 1 4)
2θ = 57.58°, I 31, (1 1 0)